# 1
Starting from a DFT-relaxed cell (GGA-PBE, Alexandria), the XRD peak list of ErMgCd17 was simulated for copper Kα.

Cell and atoms:
```
19
Lattice="4.964 2.866 5.224 -4.964 2.866 5.224 0.000 -5.732 5.224" Properties=species:S:1:pos:R:3 pbc="T T T"
Er 0.000 0.000 0.000
Mg 0.000 0.000 11.097
Cd -1.547 -2.643 5.059
Cd -3.062 -0.019 5.059
Cd -2.964 -1.711 8.008
Cd 0.000 0.000 3.371
Cd 1.547 -2.643 5.059
Cd -1.515 2.661 5.059
Cd 0.000 -2.476 7.788
Cd -2.145 1.238 7.788
Cd 0.000 0.000 6.263
Cd -2.688 -1.552 12.507
Cd 3.062 -0.019 5.059
Cd 1.515 2.661 5.059
Cd 2.964 -1.711 8.008
Cd 0.000 3.423 8.008
Cd 2.145 1.238 7.788
Cd 2.688 -1.552 12.507
Cd 0.000 3.104 12.507
```

Most intense lines, 15° ≤ 2θ ≤ 90°, by angle:
- d 2.896, intensity 15
- d 2.866, intensity 32
- d 2.612, intensity 24
- d 2.533, intensity 23
- d 2.513, intensity 100
- d 2.482, intensity 23
- d 2.311, intensity 19
- d 2.242, intensity 36

***

# 2
Starting from a DFT-relaxed cell (GGA-PBE, Alexandria), the XRD peak list of Li3Zn3Ni was simulated for copper Kα.

Cell and atoms:
```
14
Lattice="2.610 1.507 9.271 -2.610 1.507 9.271 0.000 -3.014 9.271" Properties=species:S:1:pos:R:3 pbc="T T T"
Li 0.000 -1.483 8.001
Li -1.284 0.741 8.001
Li -1.284 -0.741 19.814
Li 1.284 0.741 8.001
Li 1.284 -0.741 19.814
Li 0.000 1.483 19.814
Zn -1.306 -0.754 15.069
Zn 0.000 -1.508 12.745
Zn -1.306 0.754 12.745
Zn 1.306 -0.754 15.069
Zn 0.000 1.508 15.069
Zn 1.306 0.754 12.745
Ni 0.000 0.000 5.756
Ni 0.000 0.000 22.058
```

Most intense lines, 15° ≤ 2θ ≤ 90°, by angle:
- d 3.090, intensity 42
- d 2.318, intensity 49
- d 2.231, intensity 88
- d 2.094, intensity 100
- d 1.965, intensity 79
- d 1.754, intensity 43
- d 1.325, intensity 24
- d 1.137, intensity 27

***

# 3
Starting from a DFT-relaxed cell (GGA-PBE, Alexandria), the XRD peak list of BaLaI5 was simulated for copper Kα.

Cell and atoms:
```
28
Lattice="7.986 0.000 0.000 0.000 14.068 0.000 -0.431 0.000 11.588" Properties=species:S:1:pos:R:3 pbc="T T T"
Ba 0.280 0.000 1.625
Ba 3.488 9.457 3.310
Ba 4.067 2.423 8.278
Ba 7.275 7.034 9.963
La -0.063 4.827 4.417
La 3.908 3.629 1.362
La 3.647 10.663 10.225
La 7.618 11.861 7.171
I 0.463 7.913 4.377
I 0.904 5.230 1.313
I 1.392 12.105 4.448
I 1.803 9.166 0.332
I 1.515 9.288 8.062
I 1.692 1.967 10.886
I 2.062 2.267 3.703
I 2.047 4.835 6.785
I 2.706 13.047 8.257
I 3.637 12.616 1.132
I 3.918 5.583 10.455
I 4.849 6.013 3.331
I 5.508 11.869 4.803
I 5.493 9.301 7.885
I 5.863 9.001 0.701
I 5.752 2.132 11.256
I 6.040 2.254 3.526
I 6.163 5.071 7.140
I 6.651 12.264 10.275
I 7.092 0.879 7.211
```

Most intense lines, 15° ≤ 2θ ≤ 90°, by angle:
- d 3.645, intensity 75
- d 3.357, intensity 100
- d 3.288, intensity 62
- d 3.254, intensity 63
- d 3.149, intensity 73
- d 2.919, intensity 81
- d 2.772, intensity 64
- d 2.724, intensity 62

***

# 4
Starting from a DFT-relaxed cell (GGA-PBE, Alexandria), the XRD peak list of Ac2ErBi2O2 was simulated for copper Kα.

Cell and atoms:
```
7
Lattice="-2.256 2.256 8.750 2.256 -2.256 8.750 2.256 2.256 -8.750" Properties=species:S:1:pos:R:3 pbc="T T T"
Ac 0.000 0.000 1.942
Ac 0.000 0.000 15.558
Er 0.000 0.000 8.750
Bi 0.000 0.000 5.474
Bi 0.000 0.000 12.025
O 2.256 0.000 0.000
O 0.000 2.256 0.000
```

Most intense lines, 15° ≤ 2θ ≤ 90°, by angle:
- d 3.191, intensity 76
- d 2.766, intensity 100
- d 2.256, intensity 34
- d 1.748, intensity 58
- d 1.595, intensity 12
- d 1.427, intensity 15
- d 1.382, intensity 21
- d 1.179, intensity 21

***

# 5
Starting from a DFT-relaxed cell (GGA-PBE, Alexandria), the XRD peak list of La2Ge3Au6 was simulated for copper Kα.

Cell and atoms:
```
11
Lattice="7.881 0.000 0.000 -3.940 6.825 0.000 0.000 0.000 4.484" Properties=species:S:1:pos:R:3 pbc="T T T"
La 0.000 4.550 0.000
La 3.940 2.275 0.000
Ge -2.534 4.389 2.242
Ge 1.407 2.436 2.242
Ge 5.068 0.000 2.242
Au -1.262 2.186 2.242
Au -3.124 5.411 0.000
Au 0.816 1.414 0.000
Au 2.525 0.000 2.242
Au 2.678 4.638 2.242
Au 6.248 0.000 0.000
```

Most intense lines, 15° ≤ 2θ ≤ 90°, by angle:
- d 2.960, intensity 100
- d 2.580, intensity 25
- d 2.275, intensity 32
- d 2.242, intensity 30
- d 2.236, intensity 57
- d 2.029, intensity 18
- d 1.597, intensity 22
- d 1.413, intensity 32

***

# 6
Starting from a DFT-relaxed cell (GGA-PBE, Alexandria), the XRD peak list of RbAl2In was simulated for copper Kα.

Cell and atoms:
```
8
Lattice="-2.733 2.733 9.667 2.733 -2.733 9.667 2.733 2.733 -9.667" Properties=species:S:1:pos:R:3 pbc="T T T"
Rb 2.733 1.366 2.417
Rb 0.000 1.366 7.250
Al 0.000 0.000 0.000
Al 1.366 1.366 -4.833
Al 1.366 -1.366 4.833
Al 0.000 2.733 0.000
In 2.733 -1.366 7.250
In 0.000 4.099 2.417
```

Most intense lines, 15° ≤ 2θ ≤ 90°, by angle:
- d 4.833, intensity 27
- d 3.588, intensity 100
- d 2.733, intensity 24
- d 2.475, intensity 37
- d 2.379, intensity 33
- d 1.794, intensity 22
- d 1.701, intensity 23
- d 1.523, intensity 16

***

# 7
Starting from a DFT-relaxed cell (GGA-PBE, Alexandria), the XRD peak list of Na6TeN4 was simulated for copper Kα.

Cell and atoms:
```
22
Lattice="7.631 0.000 0.000 0.000 7.631 0.000 0.000 0.000 5.852" Properties=species:S:1:pos:R:3 pbc="T T T"
Na 0.330 4.146 1.463
Na 0.330 7.300 1.463
Na 1.908 1.908 0.660
Na 1.908 1.908 3.586
Na 3.485 4.146 1.463
Na 3.485 7.300 1.463
Na 4.146 0.330 4.389
Na 4.146 3.485 4.389
Na 5.723 5.723 2.266
Na 5.723 5.723 5.192
Na 7.300 0.330 4.389
Na 7.300 3.485 4.389
Te 1.908 5.723 4.389
Te 5.723 1.908 1.463
N 0.191 5.723 3.365
N 1.908 4.007 5.412
N 1.908 7.439 5.412
N 3.624 5.723 3.365
N 4.007 1.908 2.486
N 5.723 0.191 0.439
N 5.723 3.624 0.439
N 7.439 1.908 2.486
```

Most intense lines, 15° ≤ 2θ ≤ 90°, by angle:
- d 5.396, intensity 46
- d 4.644, intensity 100
- d 2.948, intensity 92
- d 2.698, intensity 36
- d 2.572, intensity 30
- d 2.333, intensity 52
- d 1.983, intensity 36
- d 1.693, intensity 25

***

# 8
Starting from a DFT-relaxed cell (GGA-PBE, Alexandria), the XRD peak list of DyYAgHg was simulated for copper Kα.

Cell and atoms:
```
4
Lattice="0.000 3.682 3.682 3.682 0.000 3.682 3.682 3.682 0.000" Properties=species:S:1:pos:R:3 pbc="T T T"
Dy 0.000 0.000 0.000
Y 3.682 3.682 3.682
Ag 5.523 5.523 5.523
Hg 1.841 1.841 1.841
```

Most intense lines, 15° ≤ 2θ ≤ 90°, by angle:
- d 4.251, intensity 9
- d 2.603, intensity 100
- d 2.220, intensity 5
- d 1.841, intensity 18
- d 1.689, intensity 2
- d 1.503, intensity 37
- d 1.302, intensity 11
- d 1.164, intensity 16